No. 1
Diffraction record for Nd2Sm5DyY. The powder diffraction line list is calculated, not measured: it uses a structure optimized by DFT (GGA-PBE) and Cu Kα X-rays.

Most intense lines, 10° ≤ 2θ ≤ 90°, sorted by position:
d [Å]  2θ/deg  I (rel.)
3.156  28.3  49
3.066  29.1  52
2.969  30.1  100
2.742  32.7  18
2.379  37.8  16
2.037  44.5  14
1.961  46.3  10
1.751  52.2  25
1.697  54.0  13
1.216  78.7  11

Structural model:
```
Nd2Sm5DyY
1.0
-4.3360 4.3360 8.1488
4.3360 -4.3360 8.1488
4.3360 4.3360 -8.1488
Nd Sm Dy Y
4 10 2 2
direct
0.1198 0.6198 0.7396
0.3802 0.1198 0.5000
0.6198 0.8802 0.5000
0.8802 0.3802 0.2604
0.0000 0.0000 0.0000
0.0734 0.1433 0.5000
0.1433 0.6433 0.0699
0.3567 0.4266 0.5000
0.4266 0.9266 0.0699
0.5000 0.5000 0.0000
0.5734 0.0734 0.9301
0.6433 0.5734 0.5000
0.8567 0.3567 0.9301
0.9266 0.8567 0.5000
0.2500 0.2500 0.0000
0.7500 0.7500 0.0000
0.2500 0.7500 0.5000
0.7500 0.2500 0.5000
```

---

No. 2
Diffraction record for Nd2Sm2DyY4. The powder diffraction line list is calculated, not measured: it uses a structure optimized by DFT (GGA-PBE) and Cu Kα X-rays.

Most intense lines, 10° ≤ 2θ ≤ 90°, sorted by position:
d [Å]  2θ/deg  I (rel.)
3.125  28.6  46
2.905  30.8  49
2.836  31.5  100
2.697  33.2  89
2.267  39.8  18
1.817  50.2  37
1.695  54.1  21
1.606  57.4  19
1.541  60.0  43
1.135  85.6  16

Structural model:
```
Nd2Sm2DyY4
1.0
9.4385 -1.8185 0.0000
9.4385 1.8185 0.0000
-4.1979 0.0000 8.7135
Nd Sm Dy Y
2 2 1 4
direct
0.1653 0.1653 0.4995
0.8347 0.8347 0.5005
0.3523 0.3523 0.8360
0.6477 0.6477 0.1640
0.5000 0.5000 0.5000
0.0193 0.0193 0.8330
0.3149 0.3149 0.1653
0.6851 0.6851 0.8347
0.9807 0.9807 0.1670
```